The following is a calculated powder XRD pattern of Li9Mn7O16. It was derived from a DFT-relaxed cell (GGA+U, the Materials Project), using Cu Kα (λ = 1.5418 Å).

Principal peaks in the range 2θ from 10° to 80°, in order of rising 2θ:
(hkl)  2theta  d_spacing  I_rel
0 1 -1  18.26  4.858  100
2 0 0  33.82  2.651  18
2 2 2  36.17  2.484  24
2 -1 1  40.66  2.219  36
2 3 1  44.15  2.051  55
2 4 0  58.20  1.585  9
4 2 2  61.25  1.513  8
-2 1 3  61.39  1.510  8
2 -1 5  61.75  1.502  8
0 4 0  61.89  1.499  8
2 3 -3  63.69  1.461  7
2 3 5  64.73  1.440  8

Structural model:
abc: 6.0723 6.5227 8.7107
angles: 82.77 70.39 66.85
Space group P-1 (No. 2)
Inequivalent atoms, fractional coordinates:
Li  0.0000  0.0000  0.0000
Li  0.2460  0.2393  0.7598
Li  0.2481  0.7486  0.2463
Li  0.2475  0.9986  0.5031
Li  0.2646  0.4912  0.0013
Mn  0.0000  0.5000  0.5000
Mn  0.0065  0.2439  0.2469
Mn  0.4839  0.7583  0.7528
Mn  0.5000  0.0000  0.0000
Mn  0.5000  0.5000  0.5000
O  0.1053  0.7433  0.5103
O  0.1274  0.4835  0.2587
O  0.1320  0.9779  0.7500
O  0.1623  0.2240  0.0120
O  0.3876  0.5075  0.7420
O  0.3875  0.7605  0.9888
O  0.3925  0.2581  0.4876
O  0.4015  0.0007  0.2368